Record 1
For Hg3S2ICl, DFT lattice parameters and positions (GGA-PBE) gives the simulated X-ray powder pattern in this record (Cu Kα (λ = 1.5418 Å)).

Peak list (10 most intense, 15° ≤ 2θ ≤ 90°, sorted by position)
Position (°2θ), intensity
20.93, 43
22.23, 53
27.32, 39
28.21, 38
29.20, 47
32.34, 100
33.06, 94
36.70, 41
38.18, 45
38.91, 45

Structure:
abc: 10.3946 10.3946 13.2652
angles: 126.94 126.94 53.95
Element x y z (fractional)
Hg  0.0000  0.5000  0.0000
Hg  0.0516  0.4881  0.2965
Hg  0.0940  0.0940  0.7137
Hg  0.2172  0.7828  0.0000
Hg  0.3899  0.3899  0.7387
Hg  0.4881  0.0516  0.2965
Hg  0.5000  0.0000  0.0000
Hg  0.5119  0.9484  0.7035
Hg  0.6101  0.6101  0.2613
Hg  0.7828  0.2172  0.0000
Hg  0.9060  0.9060  0.2863
Hg  0.9484  0.5119  0.7035
S  0.1235  0.6433  0.7498
S  0.1353  0.6199  0.2486
S  0.3567  0.8765  0.2502
S  0.3801  0.8647  0.7514
S  0.6199  0.1353  0.2486
S  0.6433  0.1235  0.7498
S  0.8647  0.3801  0.7514
S  0.8765  0.3567  0.2502
I  0.1301  0.1301  0.5020
I  0.3763  0.3763  0.0018
I  0.6237  0.6237  0.9982
I  0.8699  0.8699  0.4980
Cl  0.1315  0.1315  0.0214
Cl  0.3605  0.3605  0.4845
Cl  0.6395  0.6395  0.5155
Cl  0.8685  0.8685  0.9786

Record 2
For K2Hg2SCl4O3, DFT lattice parameters and positions (GGA-PBE) gives the simulated X-ray powder pattern in this record (Cu Kα (λ = 1.5418 Å)).

Peak list (10 most intense, 15° ≤ 2θ ≤ 90°, sorted by position)
Position (°2θ), intensity
18.39, 80
23.07, 74
23.73, 40
23.83, 46
24.67, 100
29.01, 71
29.84, 87
31.28, 40
32.65, 50
42.10, 61

Structure:
abc: 9.6345 5.9889 10.2733
angles: 90.00 110.21 90.00
Element x y z (fractional)
K  0.1007  0.2500  0.1769
K  0.3706  0.7500  0.0560
K  0.6294  0.2500  0.9440
K  0.8993  0.7500  0.8231
Hg  0.0918  0.2500  0.6308
Hg  0.3837  0.7500  0.5279
Hg  0.6163  0.2500  0.4721
Hg  0.9082  0.7500  0.3692
S  0.1921  0.2500  0.8822
S  0.8079  0.7500  0.1178
Cl  0.0832  0.7500  0.6113
Cl  0.2212  0.7500  0.2905
Cl  0.3378  0.2500  0.5325
Cl  0.4796  0.2500  0.2309
Cl  0.5204  0.7500  0.7691
Cl  0.6622  0.7500  0.4675
Cl  0.7788  0.2500  0.7095
Cl  0.9168  0.2500  0.3887
O  0.1391  0.0454  0.9327
O  0.1391  0.4546  0.9327
O  0.3541  0.2500  0.9197
O  0.6459  0.7500  0.0803
O  0.8609  0.5454  0.0673
O  0.8609  0.9546  0.0673

Record 3
For KHg2SCl3O3, DFT lattice parameters and positions (GGA-PBE) gives the simulated X-ray powder pattern in this record (Cu Kα (λ = 1.5418 Å)).

Peak list (10 most intense, 15° ≤ 2θ ≤ 90°, sorted by position)
Position (°2θ), intensity
15.27, 25
20.21, 35
23.25, 100
26.11, 16
27.61, 19
30.04, 41
30.47, 27
35.94, 15
39.86, 14
47.52, 16

Structure:
abc: 11.3974 11.3974 6.8264
angles: 90.00 90.00 149.74
Element x y z (fractional)
K  0.2381  0.7619  0.5000
K  0.7619  0.2381  0.0000
Hg  0.0595  0.9405  0.0289
Hg  0.4003  0.5997  0.1442
Hg  0.5997  0.4003  0.6442
Hg  0.9405  0.0595  0.5289
S  0.1670  0.8330  0.9512
S  0.8330  0.1670  0.4512
Cl  0.0501  0.9499  0.5595
Cl  0.3454  0.6546  0.8530
Cl  0.4625  0.5375  0.4246
Cl  0.5375  0.4625  0.9246
Cl  0.6546  0.3454  0.3530
Cl  0.9499  0.0501  0.0595
O  0.0283  0.3831  0.3320
O  0.2033  0.7967  0.1314
O  0.3831  0.0283  0.8320
O  0.6169  0.9717  0.3320
O  0.7967  0.2033  0.6314
O  0.9717  0.6169  0.8320

Record 4
For HgS4N3Cl3, DFT lattice parameters and positions (GGA-PBE) gives the simulated X-ray powder pattern in this record (Cu Kα (λ = 1.5418 Å)).

Peak list (10 most intense, 15° ≤ 2θ ≤ 90°, sorted by position)
Position (°2θ), intensity
18.13, 100
19.12, 41
20.85, 47
21.48, 48
22.66, 47
24.59, 39
25.45, 69
29.05, 62
31.97, 50
32.21, 38

Structure:
abc: 6.2473 17.3504 9.7969
angles: 90.00 108.65 90.00
Element x y z (fractional)
Hg  0.2054  0.0692  0.4338
Hg  0.2054  0.4308  0.9338
Hg  0.7946  0.5692  0.0662
Hg  0.7946  0.9308  0.5662
S  0.0713  0.6764  0.6787
S  0.0713  0.8236  0.1787
S  0.3032  0.5460  0.5957
S  0.3032  0.9540  0.0957
S  0.3475  0.7324  0.0313
S  0.3475  0.7676  0.5313
S  0.4900  0.1736  0.0325
S  0.4900  0.3264  0.5325
S  0.5100  0.6736  0.4675
S  0.5100  0.8264  0.9675
S  0.6525  0.2324  0.4687
S  0.6525  0.2676  0.9687
S  0.6968  0.0460  0.9043
S  0.6968  0.4540  0.4043
S  0.9287  0.1764  0.8213
S  0.9287  0.3236  0.3213
N  0.1378  0.5894  0.6631
N  0.1378  0.9106  0.1631
N  0.1808  0.7396  0.6112
N  0.1808  0.7604  0.1112
N  0.4401  0.5945  0.5197
N  0.4401  0.9055  0.0197
N  0.5599  0.0945  0.9803
N  0.5599  0.4055  0.4803
N  0.8192  0.2396  0.8888
N  0.8192  0.2604  0.3888
N  0.8622  0.0894  0.8369
N  0.8622  0.4106  0.3369
Cl  0.1113  0.1305  0.2040
Cl  0.1113  0.3695  0.7040
Cl  0.2854  0.5437  0.0884
Cl  0.2854  0.9563  0.5884
Cl  0.3451  0.1803  0.6225
Cl  0.3451  0.3197  0.1225
Cl  0.6549  0.6803  0.8775
Cl  0.6549  0.8197  0.3775
Cl  0.7146  0.0437  0.4116
Cl  0.7146  0.4563  0.9116
Cl  0.8887  0.6305  0.2960
Cl  0.8887  0.8695  0.7960

Record 5
For Hg2ClO, DFT lattice parameters and positions (GGA-PBE) gives the simulated X-ray powder pattern in this record (Cu Kα (λ = 1.5418 Å)).

Peak list (10 most intense, 15° ≤ 2θ ≤ 90°, sorted by position)
Position (°2θ), intensity
15.09, 41
21.04, 61
26.73, 83
29.52, 30
30.45, 26
30.79, 23
31.09, 25
35.12, 100
50.70, 24
50.83, 25

Structure:
abc: 6.7941 6.7941 9.6359
angles: 103.56 103.56 52.89
Element x y z (fractional)
Hg  0.0000  0.5000  0.5000
Hg  0.0942  0.9058  0.7500
Hg  0.2523  0.6436  0.1032
Hg  0.3564  0.7477  0.3968
Hg  0.5000  0.0000  0.0000
Hg  0.6436  0.2523  0.6032
Hg  0.7477  0.3564  0.8968
Hg  0.9058  0.0942  0.2500
Cl  0.0091  0.6032  0.8555
Cl  0.3968  0.9909  0.6445
Cl  0.6032  0.0091  0.3555
Cl  0.9909  0.3968  0.1445
O  0.2471  0.5963  0.5600
O  0.4037  0.7529  0.9400
O  0.5963  0.2471  0.0600
O  0.7529  0.4037  0.4400

Record 6
For Hg2Cl2O, DFT lattice parameters and positions (GGA-PBE) gives the simulated X-ray powder pattern in this record (Cu Kα (λ = 1.5418 Å)).

Peak list (10 most intense, 15° ≤ 2θ ≤ 90°, sorted by position)
Position (°2θ), intensity
16.29, 100
27.04, 36
27.89, 15
30.50, 15
32.00, 20
32.93, 82
35.44, 28
44.79, 19
55.76, 19
57.63, 17

Structure:
abc: 8.1023 6.9185 6.6922
angles: 73.05 54.76 52.19
Element x y z (fractional)
Hg  0.0000  0.0000  0.0000
Hg  0.0000  0.0000  0.5000
Hg  0.0000  0.5000  0.0000
Hg  0.5000  0.0000  0.0000
Cl  0.1873  0.5627  0.1873
Cl  0.4373  0.8127  0.4373
Cl  0.5627  0.1873  0.5627
Cl  0.8127  0.4373  0.8127
O  0.1250  0.1250  0.1250
O  0.8750  0.8750  0.8750

Record 7
For SiHg3Cl6O2, DFT lattice parameters and positions (GGA-PBE) gives the simulated X-ray powder pattern in this record (Cu Kα (λ = 1.5418 Å)).

Peak list (10 most intense, 15° ≤ 2θ ≤ 90°, sorted by position)
Position (°2θ), intensity
19.73, 63
28.75, 44
30.95, 16
31.92, 100
40.08, 69
40.86, 16
50.94, 24
51.27, 17
52.97, 19
67.72, 16

Structure:
abc: 7.1708 7.1708 6.5279
angles: 90.00 90.00 120.00
Element x y z (fractional)
Si  0.0000  0.0000  0.0000
Hg  0.0000  0.5000  0.5000
Hg  0.5000  0.0000  0.5000
Hg  0.5000  0.5000  0.5000
Cl  0.1485  0.2971  0.8089
Cl  0.1485  0.8515  0.8089
Cl  0.2971  0.1485  0.1911
Cl  0.7029  0.8515  0.8089
Cl  0.8515  0.1485  0.1911
Cl  0.8515  0.7029  0.1911
O  0.3333  0.6667  0.4273
O  0.6667  0.3333  0.5727

Record 8
For SrHg2Cl2O2, DFT lattice parameters and positions (GGA-PBE) gives the simulated X-ray powder pattern in this record (Cu Kα (λ = 1.5418 Å)).

Peak list (10 most intense, 15° ≤ 2θ ≤ 90°, sorted by position)
Position (°2θ), intensity
15.44, 97
17.73, 52
19.98, 49
26.31, 60
28.20, 60
31.71, 100
33.67, 59
33.87, 58
34.39, 62
36.64, 68

Structure:
abc: 8.3747 7.0785 11.6138
angles: 90.00 122.35 90.00
Element x y z (fractional)
Sr  0.1520  0.1212  0.3747
Sr  0.1520  0.3788  0.8747
Sr  0.8480  0.6212  0.1253
Sr  0.8480  0.8788  0.6253
Hg  0.2297  0.5641  0.6032
Hg  0.2297  0.9359  0.1032
Hg  0.3941  0.6680  0.3674
Hg  0.3941  0.8320  0.8674
Hg  0.6059  0.1680  0.1326
Hg  0.6059  0.3320  0.6326
Hg  0.7703  0.0641  0.8968
Hg  0.7703  0.4359  0.3968
Cl  0.0931  0.1776  0.6267
Cl  0.0931  0.3224  0.1267
Cl  0.4565  0.6004  0.1150
Cl  0.4565  0.8996  0.6150
Cl  0.5435  0.1004  0.3850
Cl  0.5435  0.3996  0.8850
Cl  0.9069  0.6776  0.8733
Cl  0.9069  0.8224  0.3733
O  0.1469  0.6803  0.7294
O  0.1469  0.8197  0.2294
O  0.3243  0.0776  0.9935
O  0.3243  0.4224  0.4935
O  0.6757  0.5776  0.5065
O  0.6757  0.9224  0.0065
O  0.8531  0.1803  0.7706
O  0.8531  0.3197  0.2706